Diffraction record for Ba3Cr3N5. The PXRD pattern is simulated, not measured: it uses a crystal structure in the Materials Project, relaxed with GGA-PBE and CuKα.
No peak broadening, texture or thermal motion is included.

```
data_Ba3Cr3N5
_chemical_formula_sum 'Ba6 Cr6 N10'
_cell_length_a 5.8614
_cell_length_b 7.4466
_cell_length_c 8.8435
_cell_angle_alpha 106.61
_cell_angle_beta 101.90
_cell_angle_gamma 95.54
_space_group_name_H-M_alt 'P 1'
_space_group_IT_number 1
loop_
_space_group_symop_operation_xyz
'x,y,z'
loop_
_atom_site_label
_atom_site_fract_x
_atom_site_fract_y
_atom_site_fract_z
Ba1 0.1472 0.1782 0.2161
Ba2 0.1514 0.3650 0.8842
Ba3 0.3137 0.9200 0.6096
Ba4 0.6863 0.0800 0.3904
Ba5 0.8486 0.6350 0.1158
Ba6 0.8528 0.8218 0.7839
Cr1 0.1870 0.4708 0.5791
Cr2 0.4129 0.6018 0.2967
Cr3 0.4205 0.8229 0.9755
Cr4 0.5795 0.1771 0.0245
Cr5 0.5871 0.3982 0.7033
Cr6 0.8130 0.5292 0.4209
N1 0.1361 0.5569 0.3883
N2 0.2842 0.0275 0.9348
N3 0.3260 0.2560 0.5379
N4 0.3605 0.7106 0.1338
N5 0.4117 0.6203 0.7799
N6 0.5883 0.3797 0.2201
N7 0.6395 0.2894 0.8662
N8 0.6740 0.7440 0.4621
N9 0.7158 0.9725 0.0652
N10 0.8639 0.4431 0.6117
```

Most intense lines, 2θ from 10° to 90°, in order of rising 2θ:
two_theta  intensity
21.73  22
28.47  75
30.62  95
31.43  82
32.10  33
32.65  100
32.68  58
36.14  49
37.69  24
38.27  24